1.
Calculated PXRD pattern
Compound: TmPd5Au2
Radiation: a wavelength of 1.5418 Å
Structure: a crystal structure in Alexandria, relaxed with PBE
Neutral-atom scattering factors, no anomalous dispersion.

Structure:
Unit cell a=5.723 b=11.420 c=4.146 alpha=90.00 beta=90.00 gamma=90.00
Fractional coordinates of all 16 atoms:
Tm 0.000 0.000 0.000
Tm 0.500 0.500 0.000
Pd 0.000 0.500 0.000
Pd 0.020 0.249 0.000
Pd 0.237 0.876 0.500
Pd 0.263 0.376 0.500
Pd 0.480 0.749 0.000
Pd 0.500 0.000 0.000
Pd 0.520 0.251 0.000
Pd 0.737 0.624 0.500
Pd 0.763 0.124 0.500
Pd 0.980 0.751 0.000
Au 0.230 0.629 0.500
Au 0.270 0.129 0.500
Au 0.730 0.871 0.500
Au 0.770 0.371 0.500

Peak list (10 most intense, 10 to 90 degrees two-theta, most intense first)
2θ = 38.2°, 2.353 Å, I = 1000
2θ = 44.8°, 2.021 Å, I = 312
2θ = 64.4°, 1.447 Å, I = 211
2θ = 43.7°, 2.073 Å, I = 176
2θ = 76.6°, 1.244 Å, I = 131
2θ = 78.3°, 1.221 Å, I = 119
2θ = 78.2°, 1.222 Å, I = 107
2θ = 81.9°, 1.176 Å, I = 56
2θ = 65.4°, 1.427 Å, I = 52
2θ = 22.0°, 4.042 Å, I = 49

2.
Calculated PXRD pattern
Compound: Tm3Pd2Au3
Radiation: a wavelength of 1.5418 Å
Structure: a crystal structure in Alexandria, relaxed with PBE
Neutral-atom scattering factors, no anomalous dispersion.

Structure:
Unit cell a=7.346 b=7.346 c=3.569 alpha=90.00 beta=90.00 gamma=120.00
Fractional coordinates of all 8 atoms:
Tm 0.000 0.395 0.000
Tm 0.395 0.000 0.000
Tm 0.605 0.605 0.000
Pd 0.333 0.667 0.500
Pd 0.667 0.333 0.500
Au 0.000 0.765 0.500
Au 0.235 0.235 0.500
Au 0.765 0.000 0.500

Peak list (10 most intense, 10 to 90 degrees two-theta, most intense first)
2θ = 35.1°, 2.560 Å, I = 1000
2θ = 37.4°, 2.405 Å, I = 753
2θ = 37.9°, 2.375 Å, I = 407
2θ = 65.1°, 1.433 Å, I = 302
2θ = 45.5°, 1.994 Å, I = 233
2θ = 58.3°, 1.582 Å, I = 186
2θ = 69.6°, 1.351 Å, I = 177
2θ = 42.6°, 2.121 Å, I = 174
2θ = 51.2°, 1.785 Å, I = 164
2θ = 73.1°, 1.294 Å, I = 153

3.
Calculated PXRD pattern
Compound: TmPd2Au3
Radiation: a wavelength of 1.5418 Å
Structure: a crystal structure in Alexandria, relaxed with PBE
Neutral-atom scattering factors, no anomalous dispersion.

Structure:
Unit cell a=5.651 b=5.651 c=7.403 alpha=98.50 beta=98.50 gamma=101.38
Fractional coordinates of all 12 atoms:
Tm 0.074 0.926 0.750
Tm 0.926 0.074 0.250
Pd 0.096 0.658 0.381
Pd 0.342 0.904 0.119
Pd 0.658 0.096 0.881
Pd 0.904 0.342 0.619
Au 0.180 0.370 0.018
Au 0.370 0.180 0.518
Au 0.395 0.605 0.750
Au 0.605 0.395 0.250
Au 0.630 0.820 0.482
Au 0.820 0.630 0.982

Peak list (10 most intense, 10 to 90 degrees two-theta, most intense first)
2θ = 36.7°, 2.448 Å, I = 1000
2θ = 40.0°, 2.253 Å, I = 455
2θ = 38.1°, 2.361 Å, I = 439
2θ = 39.3°, 2.294 Å, I = 392
2θ = 37.6°, 2.392 Å, I = 282
2θ = 31.3°, 2.858 Å, I = 278
2θ = 78.1°, 1.224 Å, I = 232
2θ = 52.7°, 1.736 Å, I = 210
2θ = 48.5°, 1.876 Å, I = 172
2θ = 22.2°, 4.006 Å, I = 165

4.
Calculated PXRD pattern
Compound: Tm5Pd4Au
Radiation: a wavelength of 1.5418 Å
Structure: a crystal structure in Alexandria, relaxed with PBE
Neutral-atom scattering factors, no anomalous dispersion.

Structure:
Unit cell a=3.473 b=3.473 c=17.500 alpha=90.00 beta=90.00 gamma=90.00
Fractional coordinates of all 10 atoms:
Tm 0.000 0.000 0.000
Tm 0.000 0.000 0.198
Tm 0.000 0.000 0.396
Tm 0.000 0.000 0.604
Tm 0.000 0.000 0.802
Pd 0.500 0.500 0.099
Pd 0.500 0.500 0.297
Pd 0.500 0.500 0.703
Pd 0.500 0.500 0.901
Au 0.500 0.500 0.500

Peak list (10 most intense, 10 to 90 degrees two-theta, most intense first)
2θ = 36.4°, 2.465 Å, I = 1000
2θ = 36.6°, 2.456 Å, I = 498
2θ = 65.8°, 1.420 Å, I = 356
2θ = 65.5°, 1.425 Å, I = 178
2θ = 52.7°, 1.736 Å, I = 175
2θ = 89.1°, 1.099 Å, I = 164
2θ = 77.4°, 1.233 Å, I = 110
2θ = 52.3°, 1.750 Å, I = 90
2θ = 88.4°, 1.106 Å, I = 79
2θ = 77.8°, 1.228 Å, I = 56

5.
Calculated PXRD pattern
Compound: TmZnPdAu
Radiation: a wavelength of 1.5418 Å
Structure: a crystal structure in Alexandria, relaxed with PBE
Neutral-atom scattering factors, no anomalous dispersion.

Structure:
Unit cell a=4.538 b=4.538 c=5.008 alpha=116.85 beta=116.85 gamma=59.41
Fractional coordinates of all 4 atoms:
Tm 0.000 0.000 0.000
Zn 0.489 0.489 0.466
Pd 0.775 0.775 0.325
Au 0.227 0.227 0.683

Peak list (10 most intense, 10 to 90 degrees two-theta, most intense first)
2θ = 36.2°, 2.482 Å, I = 1000
2θ = 39.7°, 2.269 Å, I = 626
2θ = 40.1°, 2.249 Å, I = 305
2θ = 23.8°, 3.740 Å, I = 226
2θ = 69.8°, 1.347 Å, I = 200
2θ = 55.1°, 1.666 Å, I = 199
2θ = 42.2°, 2.142 Å, I = 186
2θ = 23.6°, 3.762 Å, I = 110
2θ = 72.6°, 1.302 Å, I = 105
2θ = 54.5°, 1.683 Å, I = 102

6.
Calculated PXRD pattern
Compound: UPd4Au3
Radiation: a wavelength of 1.5418 Å
Structure: a crystal structure in Alexandria, relaxed with PBE
Neutral-atom scattering factors, no anomalous dispersion.

Structure:
Unit cell a=9.433 b=6.082 c=4.917 alpha=90.00 beta=90.00 gamma=90.00
Fractional coordinates of all 16 atoms:
U 0.000 0.000 0.000
U 0.500 0.000 0.000
Pd 0.000 0.252 0.500
Pd 0.000 0.748 0.500
Pd 0.250 0.255 0.120
Pd 0.250 0.745 0.120
Pd 0.500 0.252 0.500
Pd 0.500 0.748 0.500
Pd 0.750 0.255 0.880
Pd 0.750 0.745 0.880
Au 0.000 0.500 0.000
Au 0.250 0.000 0.596
Au 0.250 0.500 0.624
Au 0.500 0.500 0.000
Au 0.750 0.000 0.404
Au 0.750 0.500 0.376

Peak list (10 most intense, 10 to 90 degrees two-theta, most intense first)
2θ = 39.7°, 2.268 Å, I = 1000
2θ = 38.2°, 2.358 Å, I = 362
2θ = 70.0°, 1.343 Å, I = 196
2θ = 36.0°, 2.494 Å, I = 173
2θ = 37.8°, 2.379 Å, I = 170
2θ = 26.2°, 3.404 Å, I = 147
2θ = 36.6°, 2.458 Å, I = 137
2θ = 41.4°, 2.180 Å, I = 114
2θ = 77.6°, 1.231 Å, I = 113
2θ = 74.2°, 1.278 Å, I = 105

7.
Calculated PXRD pattern
Compound: U2Pd7Au
Radiation: a wavelength of 1.5418 Å
Structure: a crystal structure in Alexandria, relaxed with PBE
Neutral-atom scattering factors, no anomalous dispersion.

Structure:
Unit cell a=8.950 b=8.950 c=2.945 alpha=90.00 beta=90.00 gamma=123.54
Fractional coordinates of all 10 atoms:
U 0.174 0.826 0.000
U 0.826 0.174 0.000
Pd 0.000 0.000 0.000
Pd 0.173 0.368 0.000
Pd 0.319 0.681 0.500
Pd 0.368 0.173 0.000
Pd 0.632 0.827 0.000
Pd 0.681 0.319 0.500
Pd 0.827 0.632 0.000
Au 0.500 0.500 0.500

Peak list (10 most intense, 10 to 90 degrees two-theta, most intense first)
2θ = 40.4°, 2.233 Å, I = 1000
2θ = 43.4°, 2.086 Å, I = 719
2θ = 32.7°, 2.739 Å, I = 670
2θ = 44.9°, 2.021 Å, I = 490
2θ = 21.0°, 4.233 Å, I = 484
2θ = 42.7°, 2.117 Å, I = 470
2θ = 77.7°, 1.229 Å, I = 341
2θ = 19.9°, 4.466 Å, I = 330
2θ = 70.8°, 1.331 Å, I = 259
2θ = 31.0°, 2.885 Å, I = 244

8.
Calculated PXRD pattern
Compound: UPdAu3
Radiation: a wavelength of 1.5418 Å
Structure: a crystal structure in Alexandria, relaxed with PBE
Neutral-atom scattering factors, no anomalous dispersion.

Structure:
Unit cell a=5.413 b=5.337 c=7.174 alpha=90.00 beta=90.00 gamma=90.00
Fractional coordinates of all 10 atoms:
U 0.000 0.222 0.000
U 0.500 0.778 0.500
Pd 0.000 0.997 0.632
Pd 0.500 0.003 0.132
Au 0.000 0.759 0.262
Au 0.249 0.301 0.385
Au 0.251 0.699 0.885
Au 0.500 0.241 0.762
Au 0.749 0.699 0.885
Au 0.751 0.301 0.385

Peak list (10 most intense, 10 to 90 degrees two-theta, most intense first)
2θ = 39.4°, 2.288 Å, I = 1000
2θ = 34.4°, 2.609 Å, I = 541
2θ = 41.4°, 2.182 Å, I = 379
2θ = 33.6°, 2.668 Å, I = 313
2θ = 39.7°, 2.270 Å, I = 311
2θ = 72.5°, 1.304 Å, I = 252
2θ = 41.8°, 2.161 Å, I = 201
2θ = 42.2°, 2.141 Å, I = 183
2θ = 41.3°, 2.188 Å, I = 181
2θ = 24.8°, 3.587 Å, I = 177

9.
Calculated PXRD pattern
Compound: V2Pd2Au3
Radiation: a wavelength of 1.5418 Å
Structure: a crystal structure in Alexandria, relaxed with PBE
Neutral-atom scattering factors, no anomalous dispersion.

Structure:
Unit cell a=14.431 b=14.431 c=2.811 alpha=90.00 beta=90.00 gamma=168.82
Fractional coordinates of all 7 atoms:
V 0.214 0.786 0.000
V 0.786 0.214 0.000
Pd 0.347 0.653 0.500
Pd 0.653 0.347 0.500
Au 0.077 0.923 0.000
Au 0.500 0.500 0.500
Au 0.923 0.077 0.000

Peak list (10 most intense, 10 to 90 degrees two-theta, most intense first)
2θ = 38.8°, 2.320 Å, I = 1000
2θ = 37.1°, 2.424 Å, I = 936
2θ = 45.7°, 1.983 Å, I = 792
2θ = 62.9°, 1.478 Å, I = 441
2θ = 40.8°, 2.213 Å, I = 339
2θ = 35.5°, 2.526 Å, I = 305
2θ = 44.1°, 2.052 Å, I = 273
2θ = 79.8°, 1.202 Å, I = 246
2θ = 37.6°, 2.394 Å, I = 238
2θ = 66.5°, 1.406 Å, I = 220

10.
Calculated PXRD pattern
Compound: VPd4Au
Radiation: a wavelength of 1.5418 Å
Structure: a crystal structure in Alexandria, relaxed with PBE
Neutral-atom scattering factors, no anomalous dispersion.

Structure:
Unit cell a=2.789 b=3.940 c=8.386 alpha=90.00 beta=90.00 gamma=90.00
Fractional coordinates of all 6 atoms:
V 0.000 0.000 0.000
Pd 0.000 0.000 0.320
Pd 0.000 0.000 0.680
Pd 0.500 0.500 0.157
Pd 0.500 0.500 0.843
Au 0.500 0.500 0.500

Peak list (10 most intense, 10 to 90 degrees two-theta, most intense first)
2θ = 39.6°, 2.278 Å, I = 1000
2θ = 46.0°, 1.974 Å, I = 319
2θ = 67.1°, 1.395 Å, I = 254
2θ = 80.8°, 1.189 Å, I = 180
2θ = 46.1°, 1.970 Å, I = 163
2θ = 10.5°, 8.386 Å, I = 155
2θ = 80.7°, 1.191 Å, I = 110
2θ = 31.2°, 2.871 Å, I = 85
2θ = 80.9°, 1.188 Å, I = 62
2θ = 85.3°, 1.138 Å, I = 55

11.
Calculated PXRD pattern
Compound: V2Pd4Au
Radiation: a wavelength of 1.5418 Å
Structure: a crystal structure in Alexandria, relaxed with PBE
Neutral-atom scattering factors, no anomalous dispersion.

Structure:
Unit cell a=2.691 b=4.928 c=8.991 alpha=90.00 beta=90.00 gamma=90.00
Fractional coordinates of all 7 atoms:
V 0.000 0.000 0.000
V 0.500 0.500 0.000
Pd 0.216 0.252 0.761
Pd 0.216 0.748 0.239
Pd 0.784 0.252 0.239
Pd 0.784 0.748 0.761
Au 0.500 0.000 0.500

Peak list (10 most intense, 10 to 90 degrees two-theta, most intense first)
2θ = 39.5°, 2.284 Å, I = 1000
2θ = 41.8°, 2.161 Å, I = 838
2θ = 49.1°, 1.855 Å, I = 513
2θ = 40.1°, 2.248 Å, I = 455
2θ = 20.6°, 4.321 Å, I = 381
2θ = 18.0°, 4.928 Å, I = 243
2θ = 26.8°, 3.321 Å, I = 212
2θ = 65.2°, 1.431 Å, I = 203
2θ = 67.6°, 1.385 Å, I = 197
2θ = 39.0°, 2.309 Å, I = 163

12.
Calculated PXRD pattern
Compound: VPd6Au3
Radiation: a wavelength of 1.5418 Å
Structure: a crystal structure in Alexandria, relaxed with PBE
Neutral-atom scattering factors, no anomalous dispersion.

Structure:
Unit cell a=5.217 b=5.217 c=7.067 alpha=90.00 beta=90.00 gamma=120.00
Fractional coordinates of all 10 atoms:
V 0.000 0.000 0.000
Pd 0.000 0.386 0.823
Pd 0.000 0.614 0.177
Pd 0.386 0.000 0.823
Pd 0.386 0.386 0.177
Pd 0.614 0.000 0.177
Pd 0.614 0.614 0.823
Au 0.000 0.000 0.500
Au 0.333 0.667 0.500
Au 0.667 0.333 0.500

Peak list (10 most intense, 10 to 90 degrees two-theta, most intense first)
2θ = 36.7°, 2.447 Å, I = 1000
2θ = 43.1°, 2.099 Å, I = 815
2θ = 38.2°, 2.356 Å, I = 318
2θ = 63.6°, 1.463 Å, I = 229
2θ = 61.6°, 1.506 Å, I = 202
2θ = 74.8°, 1.269 Å, I = 189
2θ = 12.5°, 7.067 Å, I = 179
2θ = 76.7°, 1.243 Å, I = 127
2θ = 34.4°, 2.609 Å, I = 110
2θ = 78.1°, 1.224 Å, I = 107

13.
Calculated PXRD pattern
Compound: V2Pd7Au3
Radiation: a wavelength of 1.5418 Å
Structure: a crystal structure in Alexandria, relaxed with PBE
Neutral-atom scattering factors, no anomalous dispersion.

Structure:
Unit cell a=4.821 b=2.783 c=14.434 alpha=90.00 beta=95.28 gamma=90.00
Fractional coordinates of all 12 atoms:
V 0.219 0.000 0.302
V 0.781 0.000 0.698
Pd 0.000 0.500 0.000
Pd 0.122 0.000 0.830
Pd 0.241 0.000 0.462
Pd 0.382 0.500 0.167
Pd 0.618 0.500 0.833
Pd 0.759 0.000 0.538
Pd 0.878 0.000 0.170
Au 0.270 0.500 0.649
Au 0.500 0.000 0.000
Au 0.730 0.500 0.351

Peak list (10 most intense, 10 to 90 degrees two-theta, most intense first)
2θ = 38.9°, 2.316 Å, I = 1000
2θ = 37.5°, 2.396 Å, I = 466
2θ = 38.6°, 2.333 Å, I = 341
2θ = 42.8°, 2.113 Å, I = 297
2θ = 46.3°, 1.959 Å, I = 290
2θ = 67.3°, 1.392 Å, I = 265
2θ = 63.1°, 1.473 Å, I = 230
2θ = 37.4°, 2.405 Å, I = 195
2θ = 43.4°, 2.087 Å, I = 189
2θ = 41.0°, 2.200 Å, I = 182

14.
Calculated PXRD pattern
Compound: V2Pd6Au
Radiation: a wavelength of 1.5418 Å
Structure: a crystal structure in Alexandria, relaxed with PBE
Neutral-atom scattering factors, no anomalous dispersion.

Structure:
Unit cell a=4.820 b=4.820 c=8.380 alpha=106.74 beta=106.74 gamma=47.25
Fractional coordinates of all 9 atoms:
V 0.177 0.177 0.237
V 0.823 0.823 0.763
Pd 0.169 0.169 0.888
Pd 0.171 0.171 0.559
Pd 0.498 0.498 0.671
Pd 0.502 0.502 0.329
Pd 0.829 0.829 0.441
Pd 0.831 0.831 0.112
Au 0.500 0.500 0.000

Peak list (10 most intense, 10 to 90 degrees two-theta, most intense first)
2θ = 39.8°, 2.264 Å, I = 1000
2θ = 45.9°, 1.976 Å, I = 328
2θ = 67.9°, 1.381 Å, I = 200
2θ = 47.0°, 1.932 Å, I = 155
2θ = 80.9°, 1.188 Å, I = 121
2θ = 82.5°, 1.169 Å, I = 119
2θ = 80.8°, 1.190 Å, I = 118
2θ = 85.8°, 1.132 Å, I = 105
2θ = 67.0°, 1.397 Å, I = 102
2θ = 26.4°, 3.379 Å, I = 73